No. 1
Structure and simulated XRD peak list of Pr3Co (a structure optimized by DFT (GGA-PBE); λ = 1.5418 Å (Cu Kα)).
Lines closer than 0.1° are merged.

Structural model:
```
data_Pr3Co
_chemical_formula_sum 'Pr12 Co4'
_symmetry_space_group_name_H-M 'P n m a'
_symmetry_Int_Tables_number 62
_symmetry_space_group_name_Hall '-P 2ac 2n'
_cell_length_a 7.177
_cell_length_b 10.083
_cell_length_c 6.540
_cell_angle_alpha 90.00
_cell_angle_beta 90.00
_cell_angle_gamma 90.00
loop_
_atom_site_label
_atom_site_type_symbol
_atom_site_fract_x
_atom_site_fract_y
_atom_site_fract_z
Pr1 Pr 0.047 0.250 0.148
Pr2 Pr 0.170 0.071 0.675
Co1 Co 0.114 0.750 0.438
```

Peak list (6 most intense, 2θ = 15–90°, in order of falling intensity)
index  Position (°2θ)  d [Å]  I/Imax
0 3 1  29.89  2.989  100
1 1 2  31.34  2.854  69
2 2 1  33.58  2.669  63
1 3 1  32.44  2.760  43
2 2 0  30.58  2.924  41
2 1 1  29.75  3.003  41

No. 2
Structure and simulated XRD peak list of PrCo5 (a structure optimized by DFT (GGA-PBE); λ = 1.5418 Å (Cu Kα)).
Lines closer than 0.1° are merged.

Structural model:
```
data_PrCo5
_chemical_formula_sum 'Pr1 Co5'
_symmetry_space_group_name_H-M 'P 6/m m m'
_symmetry_Int_Tables_number 191
_symmetry_space_group_name_Hall '-P 6 2'
_cell_length_a 5.0407
_cell_length_b 5.0407
_cell_length_c 3.9401
_cell_angle_alpha 90.00
_cell_angle_beta 90.00
_cell_angle_gamma 120.00
loop_
_atom_site_label
_atom_site_type_symbol
_atom_site_fract_x
_atom_site_fract_y
_atom_site_fract_z
Pr1 Pr 0.0000 0.0000 0.0000
Co1 Co 0.0000 0.5000 0.5000
Co2 Co 0.3333 0.6667 0.0000
```

Peak list (6 most intense, 2θ = 15–90°, in order of falling intensity)
index  Position (°2θ)  d [Å]  I/Imax
1 1 1  42.58  2.123  100
1 0 1  30.56  2.925  47
2 0 0  41.37  2.183  36
1 1 0  35.62  2.520  32
0 0 2  46.07  1.970  25
3 0 1  68.77  1.365  22

No. 3
Structure and simulated XRD peak list of PrCo3 (a structure optimized by DFT (GGA-PBE); λ = 1.5418 Å (Cu Kα)).
Lines closer than 0.1° are merged.

Structural model:
```
data_PrCo3
_chemical_formula_sum 'Pr9 Co27'
_symmetry_space_group_name_H-M 'R -3 m'
_symmetry_Int_Tables_number 166
_symmetry_space_group_name_Hall '-R 3 2"'
_cell_length_a 5.0952
_cell_length_b 5.0952
_cell_length_c 25.0887
_cell_angle_alpha 90.00
_cell_angle_beta 90.00
_cell_angle_gamma 120.00
loop_
_atom_site_label
_atom_site_type_symbol
_atom_site_fract_x
_atom_site_fract_y
_atom_site_fract_z
Pr1 Pr 0.0000 0.0000 0.0000
Pr2 Pr 0.0000 0.0000 0.1396
Co1 Co 0.0000 0.0000 0.3338
Co2 Co 0.0000 0.0000 0.5000
Co3 Co 0.0030 0.5015 0.0791
```

Peak list (6 most intense, 2θ = 15–90°, in order of falling intensity)
index  Position (°2θ)  d [Å]  I/Imax
1 1 6  41.51  2.175  100
1 1 0  35.23  2.548  47
1 0 7  32.17  2.782  44
0 1 8  35.11  2.556  38
0 2 1  41.07  2.198  36
3 0 0  63.17  1.472  22

No. 4
Structure and simulated XRD peak list of Pr5Co2 (a structure optimized by DFT (GGA-PBE); λ = 1.5418 Å (Cu Kα)).
Lines closer than 0.1° are merged.

Structural model:
```
data_Pr5Co2
_chemical_formula_sum 'Pr20 Co8'
_symmetry_space_group_name_H-M 'C 1 2/c 1'
_symmetry_Int_Tables_number 15
_symmetry_space_group_name_Hall '-C 2yc'
_cell_length_a 16.831
_cell_length_b 6.600
_cell_length_c 7.104
_cell_angle_alpha 90.00
_cell_angle_beta 96.19
_cell_angle_gamma 90.00
loop_
_atom_site_label
_atom_site_type_symbol
_atom_site_fract_x
_atom_site_fract_y
_atom_site_fract_z
Pr1 Pr 0.000 0.072 0.250
Pr2 Pr 0.094 0.391 0.913
Pr3 Pr 0.215 0.070 0.318
Co1 Co 0.111 0.207 0.573
```

Peak list (6 most intense, 2θ = 15–90°, in order of falling intensity)
index  Position (°2θ)  d [Å]  I/Imax
5 1 0  29.92  2.987  100
4 0 -2  31.34  2.854  44
3 1 -2  31.55  2.836  23
3 1 2  34.29  2.615  21
1 1 -2  28.66  3.115  21
2 2 1  32.25  2.775  19